No. 1
This entry pairs a crystal structure of BaHfRh2 with its calculated PXRD pattern. Radiation: Cu Ka. Structure: a structure optimized by DFT (PBE).

Cell and atoms:
Unit cell a=3.3390 b=3.3390 c=7.7543 alpha=90.00 beta=90.00 gamma=90.00
Fractional coordinates of all 4 atoms:
Ba1 0.0000 0.0000 0.0000
Hf1 0.0000 0.0000 0.5000
Rh1 0.5000 0.5000 0.3103
Rh2 0.5000 0.5000 0.6897

Top 12 peaks for 2θ = 10–90°, sorted by position:
| Position (°2θ) | intensity |
| --- | --- |
| 11.41 | 25.7 |
| 22.94 | 8.2 |
| 35.48 | 100.0 |
| 38.12 | 52.0 |
| 44.32 | 14.1 |
| 54.75 | 11.9 |
| 55.00 | 17.8 |
| 61.93 | 9.5 |
| 67.18 | 30.9 |
| 73.21 | 9.0 |
| 81.34 | 7.7 |
| 85.69 | 7.5 |

No. 2
This entry pairs a crystal structure of Ba5Hf4S13 with its calculated PXRD pattern. Radiation: Cu Ka. Structure: a structure optimized by DFT (PBE).

Cell and atoms:
Unit cell a=23.1475 b=23.1475 c=23.1475 alpha=167.59 beta=167.59 gamma=17.59
Fractional coordinates of all 22 atoms:
Ba1 0.0000 0.0000 0.0000
Ba2 0.1068 0.1068 0.0000
Ba3 0.2108 0.2108 0.0000
Ba4 0.7892 0.7892 0.0000
Ba5 0.8932 0.8932 0.0000
Hf1 0.3338 0.3338 0.0000
Hf2 0.4448 0.4448 0.0000
Hf3 0.5552 0.5552 0.0000
Hf4 0.6662 0.6662 0.0000
S1 0.0545 0.5545 0.5000
S2 0.1633 0.6633 0.5000
S3 0.2794 0.2794 0.0000
S4 0.3367 0.8367 0.5000
S5 0.3903 0.3903 0.0000
S6 0.4455 0.9455 0.5000
S7 0.5000 0.5000 0.0000
S8 0.5545 0.0545 0.5000
S9 0.6097 0.6097 0.0000
S10 0.6633 0.1633 0.5000
S11 0.7206 0.7206 0.0000
S12 0.8367 0.3367 0.5000
S13 0.9455 0.4455 0.5000

Top 12 peaks for 2θ = 10–90°, sorted by position:
| Position (°2θ) | intensity |
| --- | --- |
| 24.97 | 100.0 |
| 25.16 | 61.1 |
| 35.31 | 19.5 |
| 35.88 | 49.3 |
| 43.85 | 19.5 |
| 44.21 | 44.8 |
| 51.23 | 26.1 |
| 51.65 | 16.9 |
| 58.25 | 22.3 |
| 64.12 | 13.2 |
| 70.29 | 11.6 |
| 81.53 | 10.2 |

No. 3
This entry pairs a crystal structure of BaHf2S6 with its calculated PXRD pattern. Radiation: Cu Ka. Structure: a structure optimized by DFT (PBE).

Cell and atoms:
Unit cell a=8.9154 b=8.9154 c=8.9154 alpha=60.00 beta=60.00 gamma=60.00
Fractional coordinates of all 18 atoms:
Ba1 0.1250 0.1250 0.1250
Ba2 0.8750 0.8750 0.8750
Hf1 0.0000 0.5000 0.5000
Hf2 0.5000 0.0000 0.5000
Hf3 0.5000 0.5000 0.0000
Hf4 0.5000 0.5000 0.5000
S1 0.1564 0.1564 0.5936
S2 0.1564 0.5936 0.1564
S3 0.1564 0.5936 0.5936
S4 0.4064 0.4064 0.8436
S5 0.4064 0.8436 0.4064
S6 0.4064 0.8436 0.8436
S7 0.5936 0.1564 0.1564
S8 0.5936 0.1564 0.5936
S9 0.5936 0.5936 0.1564
S10 0.8436 0.4064 0.4064
S11 0.8436 0.4064 0.8436
S12 0.8436 0.8436 0.4064

Top 12 peaks for 2θ = 10–90°, sorted by position:
| Position (°2θ) | intensity |
| --- | --- |
| 12.16 | 24.1 |
| 23.40 | 100.0 |
| 24.46 | 47.9 |
| 37.05 | 33.8 |
| 40.47 | 63.4 |
| 47.27 | 15.8 |
| 47.86 | 24.1 |
| 56.02 | 31.7 |
| 58.57 | 9.7 |
| 63.95 | 12.3 |
| 64.42 | 9.9 |
| 73.61 | 17.5 |

No. 4
This entry pairs a crystal structure of BaHfS3 with its calculated PXRD pattern. Radiation: Cu Ka. Structure: a structure optimized by DFT (PBE).

Cell and atoms:
Unit cell a=8.4189 b=8.4189 c=7.0088 alpha=90.02 beta=90.02 gamma=74.18
Fractional coordinates of all 20 atoms:
Ba1 0.1701 0.8299 0.7500
Ba2 0.3298 0.6702 0.2500
Ba3 0.6702 0.3298 0.7500
Ba4 0.8299 0.1701 0.2500
Hf1 0.1959 0.3045 0.6254
Hf2 0.3045 0.1959 0.1254
Hf3 0.6955 0.8041 0.8746
Hf4 0.8041 0.6955 0.3746
S1 0.0555 0.1858 0.9022
S2 0.0639 0.4377 0.3104
S3 0.1858 0.0555 0.4022
S4 0.3140 0.4454 0.9016
S5 0.4377 0.0639 0.8104
S6 0.4454 0.3140 0.4016
S7 0.5546 0.6860 0.5984
S8 0.5623 0.9361 0.1896
S9 0.6860 0.5546 0.0984
S10 0.8142 0.9445 0.5978
S11 0.9361 0.5623 0.6896
S12 0.9445 0.8142 0.0978

Top 12 peaks for 2θ = 10–90°, sorted by position:
| Position (°2θ) | intensity |
| --- | --- |
| 13.18 | 20.2 |
| 21.95 | 72.0 |
| 25.40 | 100.0 |
| 26.55 | 52.5 |
| 27.74 | 33.4 |
| 33.66 | 61.4 |
| 35.63 | 25.7 |
| 37.69 | 53.5 |
| 42.60 | 23.4 |
| 43.37 | 27.5 |
| 46.17 | 20.8 |
| 46.69 | 33.5 |

No. 5
This entry pairs a crystal structure of BaHf2Si with its calculated PXRD pattern. Radiation: Cu Ka. Structure: a structure optimized by DFT (PBE).

Cell and atoms:
Unit cell a=10.3910 b=10.3910 c=10.3910 alpha=150.88 beta=150.88 gamma=41.65
Fractional coordinates of all 8 atoms:
Ba1 0.0000 0.0000 0.0000
Ba2 0.7500 0.2500 0.5000
Hf1 0.3474 0.6250 0.2224
Hf2 0.3750 0.5974 0.7224
Hf3 0.4026 0.1250 0.7776
Hf4 0.8750 0.6526 0.2776
Si1 0.2500 0.7500 0.5000
Si2 0.5000 0.5000 0.0000

Top 12 peaks for 2θ = 10–90°, sorted by position:
| Position (°2θ) | intensity |
| --- | --- |
| 17.58 | 28.4 |
| 18.27 | 22.1 |
| 21.86 | 100.0 |
| 25.80 | 33.4 |
| 28.63 | 51.7 |
| 35.59 | 56.4 |
| 37.02 | 28.5 |
| 38.82 | 49.0 |
| 44.57 | 30.3 |
| 51.10 | 22.3 |
| 53.04 | 37.3 |
| 58.19 | 15.2 |

No. 6
This entry pairs a crystal structure of BaHfTc with its calculated PXRD pattern. Radiation: Cu Ka. Structure: a structure optimized by DFT (PBE).

Cell and atoms:
Unit cell a=3.3876 b=4.4054 c=11.7509 alpha=90.00 beta=98.08 gamma=90.00
Fractional coordinates of all 6 atoms:
Ba1 0.0000 0.0000 0.0000
Ba2 0.3234 0.5000 0.6929
Hf1 0.6933 0.5000 0.2479
Hf2 0.7881 0.0000 0.4450
Tc1 0.2027 0.0000 0.2511
Tc2 0.2958 0.5000 0.4419

Top 12 peaks for 2θ = 10–90°, sorted by position:
| Position (°2θ) | intensity |
| --- | --- |
| 25.36 | 100.0 |
| 28.76 | 55.8 |
| 30.74 | 81.4 |
| 33.59 | 96.1 |
| 35.37 | 94.9 |
| 38.68 | 69.3 |
| 38.76 | 35.5 |
| 40.97 | 61.9 |
| 43.25 | 77.3 |
| 43.38 | 77.2 |
| 52.08 | 35.8 |
| 70.11 | 38.2 |

No. 7
This entry pairs a crystal structure of BaHfTe3 with its calculated PXRD pattern. Radiation: Cu Ka. Structure: a structure optimized by DFT (PBE).

Cell and atoms:
Unit cell a=9.8084 b=4.3056 c=16.1914 alpha=90.00 beta=90.00 gamma=90.00
Fractional coordinates of all 20 atoms:
Ba1 0.0627 0.2500 0.1744
Ba2 0.4373 0.7500 0.6744
Ba3 0.5627 0.2500 0.3256
Ba4 0.9373 0.7500 0.8256
Hf1 0.1620 0.7500 0.4428
Hf2 0.3380 0.2500 0.9428
Hf3 0.6620 0.7500 0.0572
Hf4 0.8380 0.2500 0.5572
Te1 0.0263 0.7500 0.6059
Te2 0.1648 0.7500 0.0054
Te3 0.2161 0.2500 0.7857
Te4 0.2839 0.7500 0.2857
Te5 0.3352 0.2500 0.5054
Te6 0.4737 0.2500 0.1059
Te7 0.5263 0.7500 0.8941
Te8 0.6648 0.7500 0.4946
Te9 0.7161 0.2500 0.7143
Te10 0.7839 0.7500 0.2143
Te11 0.8352 0.2500 0.9946
Te12 0.9737 0.2500 0.3941

Top 12 peaks for 2θ = 10–90°, sorted by position:
| Position (°2θ) | intensity |
| --- | --- |
| 10.93 | 17.3 |
| 14.19 | 14.5 |
| 28.10 | 100.0 |
| 28.59 | 31.0 |
| 29.04 | 38.4 |
| 29.74 | 84.4 |
| 34.66 | 32.8 |
| 41.22 | 29.9 |
| 41.97 | 33.6 |
| 45.46 | 26.5 |
| 45.78 | 16.1 |
| 51.84 | 16.3 |

No. 8
This entry pairs a crystal structure of BaHf2Zr2 with its calculated PXRD pattern. Radiation: Cu Ka. Structure: a structure optimized by DFT (PBE).

Cell and atoms:
Unit cell a=9.1375 b=9.1375 c=3.3029 alpha=90.00 beta=90.00 gamma=90.00
Fractional coordinates of all 10 atoms:
Ba1 0.0000 0.0000 0.0000
Ba2 0.5000 0.5000 0.0000
Hf1 0.1675 0.3325 0.5000
Hf2 0.3325 0.8325 0.5000
Hf3 0.6675 0.1675 0.5000
Hf4 0.8325 0.6675 0.5000
Zr1 0.1176 0.6176 0.0000
Zr2 0.3824 0.1176 0.0000
Zr3 0.6176 0.8824 0.0000
Zr4 0.8824 0.3824 0.0000

Top 12 peaks for 2θ = 10–90°, sorted by position:
| Position (°2θ) | intensity |
| --- | --- |
| 21.75 | 19.9 |
| 27.61 | 15.5 |
| 30.95 | 69.4 |
| 33.48 | 40.1 |
| 34.93 | 100.0 |
| 40.71 | 18.5 |
| 49.53 | 15.0 |
| 50.60 | 20.3 |
| 58.61 | 17.0 |
| 61.43 | 16.3 |
| 65.05 | 16.4 |
| 71.22 | 15.1 |

No. 9
This entry pairs a crystal structure of Ba3Hg8 with its calculated PXRD pattern. Radiation: Cu Ka. Structure: a structure optimized by DFT (PBE).

Cell and atoms:
Unit cell a=15.8538 b=15.8538 c=15.8538 alpha=163.81 beta=161.29 gamma=24.84
Fractional coordinates of all 11 atoms:
Ba1 0.0000 0.0000 0.0000
Ba2 0.3516 0.8516 0.5000
Ba3 0.6484 0.1484 0.5000
Hg1 0.0949 0.5949 0.5000
Hg2 0.1903 0.6903 0.5000
Hg3 0.2564 0.2564 0.0000
Hg4 0.4515 0.4515 0.0000
Hg5 0.5485 0.5485 0.0000
Hg6 0.7436 0.7436 0.0000
Hg7 0.8097 0.3097 0.5000
Hg8 0.9051 0.4051 0.5000

Top 12 peaks for 2θ = 10–90°, sorted by position:
| Position (°2θ) | intensity |
| --- | --- |
| 20.09 | 30.2 |
| 28.40 | 48.9 |
| 28.86 | 100.0 |
| 31.26 | 12.8 |
| 34.82 | 47.8 |
| 36.37 | 52.3 |
| 39.50 | 39.2 |
| 40.40 | 30.9 |
| 45.53 | 27.4 |
| 54.37 | 27.7 |
| 55.47 | 31.4 |
| 58.82 | 15.2 |

No. 10
This entry pairs a crystal structure of BaHg4 with its calculated PXRD pattern. Radiation: Cu Ka. Structure: a structure optimized by DFT (PBE).

Cell and atoms:
Unit cell a=5.8885 b=5.8885 c=5.8885 alpha=103.09 beta=103.09 gamma=123.17
Fractional coordinates of all 5 atoms:
Ba1 0.0000 0.0000 0.0000
Hg1 0.2005 0.4844 0.6849
Hg2 0.4844 0.7995 0.2840
Hg3 0.5156 0.2005 0.7160
Hg4 0.7995 0.5156 0.3151

Top 12 peaks for 2θ = 10–90°, sorted by position:
| Position (°2θ) | intensity |
| --- | --- |
| 31.64 | 100.0 |
| 31.94 | 31.1 |
| 34.64 | 14.9 |
| 38.88 | 11.0 |
| 40.29 | 25.5 |
| 47.83 | 12.3 |
| 51.17 | 10.0 |
| 53.05 | 9.7 |
| 56.73 | 19.4 |
| 63.27 | 11.6 |
| 71.36 | 19.7 |
| 89.04 | 11.8 |

No. 11
This entry pairs a crystal structure of Ba2Hg13 with its calculated PXRD pattern. Radiation: Cu Ka. Structure: a structure optimized by DFT (PBE).

Cell and atoms:
Unit cell a=8.8769 b=8.8769 c=8.8769 alpha=57.84 beta=57.84 gamma=57.84
Fractional coordinates of all 15 atoms:
Ba1 0.1543 0.1543 0.1543
Ba2 0.8457 0.8457 0.8457
Hg1 0.0000 0.0000 0.0000
Hg2 0.1572 0.1572 0.5424
Hg3 0.1572 0.5424 0.1572
Hg4 0.3108 0.3108 0.6665
Hg5 0.3108 0.6665 0.3108
Hg6 0.3335 0.6892 0.6892
Hg7 0.4576 0.8428 0.8428
Hg8 0.5424 0.1572 0.1572
Hg9 0.6665 0.3108 0.3108
Hg10 0.6892 0.3335 0.6892
Hg11 0.6892 0.6892 0.3335
Hg12 0.8428 0.4576 0.8428
Hg13 0.8428 0.8428 0.4576

Top 12 peaks for 2θ = 10–90°, sorted by position:
| Position (°2θ) | intensity |
| --- | --- |
| 25.28 | 12.8 |
| 30.78 | 48.2 |
| 31.45 | 34.0 |
| 32.10 | 100.0 |
| 32.89 | 22.8 |
| 40.70 | 27.1 |
| 44.04 | 44.4 |
| 52.47 | 12.0 |
| 59.87 | 18.6 |
| 61.83 | 28.2 |
| 62.60 | 18.5 |
| 65.20 | 13.7 |

No. 12
This entry pairs a crystal structure of Ba3Hg5 with its calculated PXRD pattern. Radiation: Cu Ka. Structure: a structure optimized by DFT (PBE).

Cell and atoms:
Unit cell a=7.1310 b=7.1310 c=5.7386 alpha=90.00 beta=90.00 gamma=105.14
Fractional coordinates of all 8 atoms:
Ba1 0.0000 0.0000 0.0000
Ba2 0.2904 0.7096 0.5000
Ba3 0.7096 0.2904 0.5000
Hg1 0.0000 0.5000 0.0000
Hg2 0.2084 0.2084 0.5000
Hg3 0.5000 0.0000 0.0000
Hg4 0.5000 0.5000 0.0000
Hg5 0.7916 0.7916 0.5000

Top 12 peaks for 2θ = 10–90°, sorted by position:
| Position (°2θ) | intensity |
| --- | --- |
| 30.15 | 7.4 |
| 30.28 | 100.0 |
| 31.17 | 26.4 |
| 31.60 | 21.1 |
| 41.68 | 8.8 |
| 44.98 | 16.2 |
| 52.95 | 9.7 |
| 53.23 | 7.0 |
| 54.91 | 20.5 |
| 55.46 | 13.0 |
| 62.98 | 8.5 |
| 73.84 | 5.7 |

No. 13
This entry pairs a crystal structure of Ba2Hg13 with its calculated PXRD pattern. Radiation: Cu Ka. Structure: a structure optimized by DFT (PBE).

Cell and atoms:
Unit cell a=12.2900 b=12.2900 c=12.2900 alpha=33.00 beta=33.00 gamma=33.00
Fractional coordinates of all 15 atoms:
Ba1 0.1998 0.1998 0.1998
Ba2 0.8002 0.8002 0.8002
Hg1 0.0261 0.5501 0.5501
Hg2 0.1924 0.7449 0.7449
Hg3 0.2551 0.2551 0.8076
Hg4 0.2551 0.8076 0.2551
Hg5 0.4499 0.4499 0.9739
Hg6 0.4499 0.9739 0.4499
Hg7 0.5000 0.5000 0.5000
Hg8 0.5501 0.0261 0.5501
Hg9 0.5501 0.5501 0.0261
Hg10 0.7449 0.1924 0.7449
Hg11 0.7449 0.7449 0.1924
Hg12 0.8076 0.2551 0.2551
Hg13 0.9739 0.4499 0.4499

Top 12 peaks for 2θ = 10–90°, sorted by position:
| Position (°2θ) | intensity |
| --- | --- |
| 14.87 | 22.9 |
| 19.44 | 24.1 |
| 26.67 | 26.4 |
| 29.64 | 90.3 |
| 30.80 | 19.5 |
| 31.32 | 100.0 |
| 32.28 | 33.4 |
| 34.72 | 66.3 |
| 39.51 | 37.2 |
| 41.29 | 84.0 |
| 52.43 | 51.1 |
| 67.09 | 19.3 |